No. 1
The following is a computed XRD peak list of LiNdCdSe3. It was derived from a cell relaxed with PBE, using Cu Kα, 1.54184 Å.
Neutral-atom scattering factors, no anomalous dispersion.

Peak list (10 most intense, 5° ≤ 2θ ≤ 70°, most intense first)
h k l	2θ/deg	d (Å)	I_rel
1 1 1	23.6	3.772	100
0 0 2	14.9	5.950	95
1 1 3	31.9	2.808	88
5 1 3	47.8	1.902	79
2 1 3	34.2	2.621	79
4 0 1	29.2	3.059	67
1 0 1	10.2	8.672	60
1 1 4	37.8	2.382	57
5 1 1	42.4	2.132	57
0 2 0	43.2	2.094	56

Cell and atoms:
Cell lengths 12.664, 4.188, 11.899 Å; angles 90.00, 90.00, 90.00 degrees
Element x y z (fractional)
Li 0.110 0.250 0.011
Li 0.390 0.750 0.511
Li 0.610 0.250 0.489
Li 0.890 0.750 0.989
Nd 0.046 0.250 0.678
Nd 0.454 0.750 0.178
Nd 0.546 0.250 0.822
Nd 0.954 0.750 0.322
Cd 0.236 0.250 0.285
Cd 0.264 0.750 0.785
Cd 0.736 0.250 0.215
Cd 0.764 0.750 0.715
Se 0.065 0.750 0.863
Se 0.081 0.250 0.425
Se 0.222 0.750 0.145
Se 0.278 0.250 0.645
Se 0.419 0.750 0.925
Se 0.435 0.250 0.363
Se 0.565 0.750 0.637
Se 0.581 0.250 0.075
Se 0.722 0.750 0.355
Se 0.778 0.250 0.855
Se 0.919 0.750 0.575
Se 0.935 0.250 0.137

No. 2
The following is a computed XRD peak list of Li4CdNiPb2. It was derived from a cell relaxed with PBE, using Cu Kα, 1.54184 Å.
Neutral-atom scattering factors, no anomalous dispersion.

Peak list (10 most intense, 5° ≤ 2θ ≤ 70°, most intense first)
h k l	2θ/deg	d (Å)	I_rel
1 0 1	23.6	3.770	100
1 1 2	38.7	2.326	52
2 1 1	46.6	1.948	34
2 0 0	39.6	2.275	27
1 0 3	45.0	2.013	14
2 1 3	61.5	1.507	11
1 1 0	27.7	3.217	10
2 2 0	57.3	1.609	9
3 0 1	62.8	1.479	7
1 0 2	33.1	2.706	7

Cell and atoms:
Cell lengths 4.550, 4.550, 6.734 Å; angles 90.00, 90.00, 90.00 degrees
Element x y z (fractional)
Li 0.000 0.000 0.000
Li 0.000 0.500 0.230
Li 0.500 0.000 0.770
Li 0.500 0.500 0.500
Cd 0.000 0.000 0.500
Ni 0.500 0.500 0.000
Pb 0.000 0.500 0.783
Pb 0.500 0.000 0.217

No. 3
The following is a computed XRD peak list of Li4CdNiSn2. It was derived from a cell relaxed with PBE, using Cu Kα, 1.54184 Å.
Neutral-atom scattering factors, no anomalous dispersion.

Peak list (10 most intense, 5° ≤ 2θ ≤ 70°, most intense first)
h k l	2θ/deg	d (Å)	I_rel
1 0 1	23.9	3.716	100
1 1 2	39.4	2.287	61
2 1 1	47.2	1.927	33
2 0 0	40.0	2.253	32
1 0 3	46.1	1.969	14
2 1 3	62.7	1.483	11
2 2 0	57.9	1.593	11
3 0 1	63.5	1.464	7
1 1 1	31.2	2.867	6
1 0 2	33.8	2.654	6

Cell and atoms:
Cell lengths 4.507, 4.507, 6.568 Å; angles 90.00, 90.00, 90.00 degrees
Element x y z (fractional)
Li 0.000 0.000 0.000
Li 0.000 0.500 0.232
Li 0.500 0.000 0.768
Li 0.500 0.500 0.500
Cd 0.000 0.000 0.500
Ni 0.500 0.500 0.000
Sn 0.000 0.500 0.782
Sn 0.500 0.000 0.218